TaI2Cl3: theoretical powder diffractogram (Cu Kα), based on a crystal structure in OQMD, relaxed with GGA-PBE.
Peak positions follow from Bragg's law for the DFT cell and can differ from measured ones.

Principal peaks in the range 10° ≤ 2θ ≤ 80°, low angle first:
- d 6.401, 2θ 13.84, I 100
- d 6.313, 2θ 14.03, I 48
- d 5.677, 2θ 15.61, I 65
- d 4.643, 2θ 19.12, I 54
- d 4.596, 2θ 19.31, I 43
- d 4.526, 2θ 19.61, I 60
- d 3.094, 2θ 28.86, I 83
- d 3.053, 2θ 29.26, I 70
- d 2.935, 2θ 30.46, I 72
- d 2.289, 2θ 39.36, I 43

Atomic structure:
```
TaI2Cl3
1.0
7.1733 0.0000 0.0000
3.3641 6.7340 0.0000
0.0434 3.7747 9.0526
Ta I Cl
2 4 6
direct
0.0944 0.2914 0.2127 Ta
0.9056 0.7086 0.7873 Ta
0.1465 0.8693 0.8543 I
0.4371 0.9117 0.3293 I
0.5629 0.0883 0.6707 I
0.8535 0.1307 0.1457 I
0.0564 0.6746 0.5857 Cl
0.2019 0.3359 0.9581 Cl
0.2720 0.4776 0.2345 Cl
0.7280 0.5224 0.7655 Cl
0.7981 0.6641 0.0419 Cl
0.9436 0.3254 0.4143 Cl
```